[1]
This entry pairs a crystal structure of CeHo2Tl4 with its theoretical powder diffraction line list. Radiation: a wavelength of 1.5418 Å. Structure: a DFT-relaxed cell (GGA-PBE, Alexandria).
Neutral-atom scattering factors, no anomalous dispersion.

Crystal structure
Unit cell a=5.2530 b=5.2530 c=7.6752 alpha=90.00 beta=90.00 gamma=90.00
Fractional coordinates of all 7 atoms:
Ce  0.0000  0.0000  0.0000
Ho  0.0000  0.0000  0.5000
Ho  0.5000  0.5000  0.0000
Tl  0.0000  0.5000  0.2727
Tl  0.0000  0.5000  0.7273
Tl  0.5000  0.0000  0.2727
Tl  0.5000  0.0000  0.7273

Principal peaks in the range 2θ from 10° to 80°, in order of rising 2θ:
| Position (°2θ) | intensity |
| --- | --- |
| 20.49 | 8 |
| 23.96 | 8 |
| 26.66 | 8 |
| 33.58 | 100 |
| 34.14 | 50 |
| 47.38 | 8 |
| 49.05 | 18 |
| 59.68 | 17 |
| 60.76 | 37 |
| 70.58 | 10 |

=====

[2]
This entry pairs a crystal structure of BeAlNi6 with its theoretical powder diffraction line list. Radiation: a wavelength of 1.5418 Å. Structure: a DFT-relaxed cell (GGA-PBE, Alexandria).
Neutral-atom scattering factors, no anomalous dispersion.

Crystal structure
Unit cell a=6.0668 b=6.0668 c=9.9245 alpha=90.00 beta=90.00 gamma=109.89
Fractional coordinates of all 32 atoms:
Be  0.0000  0.0000  0.2464
Be  0.0000  0.0000  0.7536
Be  0.2544  0.7456  0.0000
Be  0.7456  0.2544  0.0000
Al  0.2544  0.7456  0.5000
Al  0.5000  0.5000  0.2484
Al  0.5000  0.5000  0.7516
Al  0.7456  0.2544  0.5000
Ni  0.0000  0.0000  0.0000
Ni  0.0000  0.0000  0.5000
Ni  0.1177  0.3706  0.1214
Ni  0.1177  0.3706  0.8786
Ni  0.1192  0.3661  0.3710
Ni  0.1192  0.3661  0.6290
Ni  0.2493  0.7507  0.2426
Ni  0.2493  0.7507  0.7574
Ni  0.3661  0.1192  0.3710
Ni  0.3661  0.1192  0.6290
Ni  0.3706  0.1177  0.1214
Ni  0.3706  0.1177  0.8786
Ni  0.5000  0.5000  0.0000
Ni  0.5000  0.5000  0.5000
Ni  0.6294  0.8823  0.1214
Ni  0.6294  0.8823  0.8786
Ni  0.6339  0.8808  0.3710
Ni  0.6339  0.8808  0.6290
Ni  0.7507  0.2493  0.2426
Ni  0.7507  0.2493  0.7574
Ni  0.8808  0.6339  0.3710
Ni  0.8808  0.6339  0.6290
Ni  0.8823  0.6294  0.1214
Ni  0.8823  0.6294  0.8786

Principal peaks in the range 2θ from 10° to 80°, in order of rising 2θ:
| Position (°2θ) | intensity |
| --- | --- |
| 25.37 | 12 |
| 25.56 | 6 |
| 36.19 | 5 |
| 36.33 | 10 |
| 44.83 | 100 |
| 52.11 | 31 |
| 52.52 | 15 |
| 65.18 | 3 |
| 76.80 | 9 |
| 77.14 | 18 |

=====

[3]
This entry pairs a crystal structure of ThTaTiGe2 with its theoretical powder diffraction line list. Radiation: a wavelength of 1.5418 Å. Structure: a DFT-relaxed cell (GGA-PBE, Alexandria).
Neutral-atom scattering factors, no anomalous dispersion.

Crystal structure
Unit cell a=4.0865 b=4.0865 c=12.0796 alpha=90.00 beta=90.00 gamma=90.00
Fractional coordinates of all 10 atoms:
Th  0.0000  0.0000  0.0000
Th  0.5000  0.5000  0.5000
Ta  0.0000  0.5000  0.2500
Ta  0.5000  0.0000  0.7500
Ti  0.0000  0.5000  0.7500
Ti  0.5000  0.0000  0.2500
Ge  0.0000  0.0000  0.3926
Ge  0.0000  0.0000  0.6074
Ge  0.5000  0.5000  0.1074
Ge  0.5000  0.5000  0.8926

Principal peaks in the range 2θ from 10° to 80°, in order of rising 2θ:
| Position (°2θ) | intensity |
| --- | --- |
| 22.98 | 32 |
| 29.58 | 16 |
| 31.18 | 56 |
| 34.41 | 100 |
| 43.52 | 35 |
| 44.33 | 38 |
| 55.19 | 23 |
| 55.64 | 14 |
| 63.87 | 23 |
| 75.19 | 21 |

=====

[4]
This entry pairs a crystal structure of ScTcTeH2 with its theoretical powder diffraction line list. Radiation: a wavelength of 1.5418 Å. Structure: a DFT-relaxed cell (GGA-PBE, Alexandria).
Neutral-atom scattering factors, no anomalous dispersion.

Crystal structure
Unit cell a=3.7909 b=3.7909 c=5.7194 alpha=90.00 beta=90.00 gamma=90.00
Fractional coordinates of all 5 atoms:
Sc  0.0000  0.0000  0.0000
Tc  0.0000  0.0000  0.5000
Te  0.5000  0.5000  0.5000
H  0.0000  0.5000  0.0000
H  0.5000  0.0000  0.0000

Principal peaks in the range 2θ from 10° to 80°, in order of rising 2θ:
| Position (°2θ) | intensity |
| --- | --- |
| 15.49 | 100 |
| 28.24 | 14 |
| 31.28 | 45 |
| 33.43 | 71 |
| 37.04 | 50 |
| 46.43 | 56 |
| 48.00 | 26 |
| 50.74 | 20 |
| 58.41 | 28 |
| 75.33 | 13 |

=====

[5]
This entry pairs a crystal structure of CsSmC2O6 with its theoretical powder diffraction line list. Radiation: a wavelength of 1.5418 Å. Structure: a DFT-relaxed cell (GGA-PBE, Alexandria).
Neutral-atom scattering factors, no anomalous dispersion.

Crystal structure
Unit cell a=6.6169 b=6.6169 c=7.5666 alpha=104.87 beta=104.87 gamma=92.09
Fractional coordinates of all 20 atoms:
Cs  0.1022  0.8978  0.7500
Cs  0.8978  0.1022  0.2500
Sm  0.4061  0.5939  0.2500
Sm  0.5939  0.4061  0.7500
C  0.1515  0.4053  0.7627
C  0.4053  0.1515  0.2627
C  0.5947  0.8485  0.7373
C  0.8485  0.5947  0.2373
O  0.0443  0.6003  0.2455
O  0.2203  0.2880  0.6296
O  0.2880  0.2203  0.1296
O  0.2966  0.5329  0.9058
O  0.3997  0.9557  0.2545
O  0.4671  0.7034  0.5942
O  0.5329  0.2966  0.4058
O  0.6003  0.0443  0.7455
O  0.7034  0.4671  0.0942
O  0.7120  0.7797  0.8704
O  0.7797  0.7120  0.3704
O  0.9557  0.3997  0.7545

Principal peaks in the range 2θ from 10° to 80°, in order of rising 2θ:
| Position (°2θ) | intensity |
| --- | --- |
| 20.82 | 44 |
| 22.55 | 60 |
| 25.34 | 66 |
| 26.22 | 22 |
| 27.43 | 100 |
| 34.00 | 40 |
| 41.08 | 30 |
| 43.03 | 31 |
| 43.52 | 17 |
| 43.86 | 20 |

=====

[6]
This entry pairs a crystal structure of MgIn4I6 with its theoretical powder diffraction line list. Radiation: a wavelength of 1.5418 Å. Structure: a DFT-relaxed cell (GGA-PBE, Alexandria).
Neutral-atom scattering factors, no anomalous dispersion.

Crystal structure
Unit cell a=10.1544 b=10.1544 c=15.2774 alpha=115.96 beta=115.96 gamma=52.01
Fractional coordinates of all 22 atoms:
Mg  0.2487  0.7513  0.5000
Mg  0.7513  0.2487  0.0000
In  0.1996  0.3647  0.5785
In  0.2072  0.9304  0.2685
In  0.2542  0.6444  0.8975
In  0.3647  0.1996  0.0785
In  0.6235  0.8267  0.7683
In  0.6444  0.2542  0.3975
In  0.8267  0.6235  0.2683
In  0.9304  0.2072  0.7685
I  0.0183  0.4569  0.7459
I  0.2247  0.5828  0.3006
I  0.3272  0.9200  0.8706
I  0.3912  0.9353  0.5353
I  0.4569  0.0183  0.2459
I  0.4998  0.5077  0.6104
I  0.5077  0.4998  0.1104
I  0.5828  0.2247  0.8006
I  0.9189  0.9295  0.0311
I  0.9200  0.3272  0.3706
I  0.9295  0.9189  0.5311
I  0.9353  0.3912  0.0353

Principal peaks in the range 2θ from 10° to 80°, in order of rising 2θ:
| Position (°2θ) | intensity |
| --- | --- |
| 18.40 | 100 |
| 19.61 | 42 |
| 23.60 | 68 |
| 24.03 | 59 |
| 25.33 | 96 |
| 26.68 | 60 |
| 29.51 | 60 |
| 31.20 | 38 |
| 33.17 | 67 |
| 35.89 | 47 |

=====

[7]
This entry pairs a crystal structure of Li2TmHg7 with its theoretical powder diffraction line list. Radiation: a wavelength of 1.5418 Å. Structure: a DFT-relaxed cell (GGA-PBE, Alexandria).
Neutral-atom scattering factors, no anomalous dispersion.

Crystal structure
Unit cell a=4.9608 b=4.9608 c=11.2403 alpha=90.00 beta=90.00 gamma=120.00
Fractional coordinates of all 10 atoms:
Li  0.0000  0.0000  0.0000
Li  0.3333  0.6667  0.5805
Tm  0.6667  0.3333  0.3725
Hg  0.0000  0.0000  0.2354
Hg  0.0000  0.0000  0.5049
Hg  0.0000  0.0000  0.7672
Hg  0.3333  0.6667  0.2955
Hg  0.3333  0.6667  0.9130
Hg  0.6667  0.3333  0.0833
Hg  0.6667  0.3333  0.6455

Principal peaks in the range 2θ from 10° to 80°, in order of rising 2θ:
| Position (°2θ) | intensity |
| --- | --- |
| 22.15 | 17 |
| 26.11 | 40 |
| 31.69 | 63 |
| 36.22 | 100 |
| 38.27 | 54 |
| 48.87 | 19 |
| 53.71 | 21 |
| 62.32 | 19 |
| 65.14 | 19 |
| 66.51 | 23 |

=====

[8]
This entry pairs a crystal structure of LiTl2CuCl4 with its theoretical powder diffraction line list. Radiation: a wavelength of 1.5418 Å. Structure: a DFT-relaxed cell (GGA-PBE, Alexandria).
Neutral-atom scattering factors, no anomalous dispersion.

Crystal structure
Unit cell a=13.4462 b=12.0191 c=7.1819 alpha=84.94 beta=62.92 gamma=32.14
Fractional coordinates of all 16 atoms:
Li  0.1250  0.1250  0.1250
Li  0.8750  0.8750  0.8750
Tl  0.0546  0.0546  0.6954
Tl  0.3046  0.3046  0.9454
Tl  0.6954  0.6954  0.0546
Tl  0.9454  0.9454  0.3046
Cu  0.3750  0.3750  0.3750
Cu  0.6250  0.6250  0.6250
Cl  0.0379  0.3193  0.4246
Cl  0.2817  0.5754  0.6807
Cl  0.3193  0.0379  0.7183
Cl  0.4246  0.7183  0.0379
Cl  0.5754  0.2817  0.9621
Cl  0.6807  0.9621  0.2817
Cl  0.7183  0.4246  0.3193
Cl  0.9621  0.6807  0.5754

Principal peaks in the range 2θ from 10° to 80°, in order of rising 2θ:
| Position (°2θ) | intensity |
| --- | --- |
| 15.36 | 28 |
| 20.82 | 89 |
| 26.52 | 62 |
| 28.28 | 100 |
| 30.57 | 23 |
| 32.23 | 33 |
| 35.22 | 34 |
| 39.42 | 29 |
| 40.02 | 29 |
| 47.29 | 28 |

=====

[9]
This entry pairs a crystal structure of GaHg3Se4 with its theoretical powder diffraction line list. Radiation: a wavelength of 1.5418 Å. Structure: a DFT-relaxed cell (GGA-PBE, Alexandria).
Neutral-atom scattering factors, no anomalous dispersion.

Crystal structure
Unit cell a=6.2134 b=6.2134 c=6.2134 alpha=90.00 beta=90.00 gamma=90.00
Fractional coordinates of all 8 atoms:
Ga  0.0000  0.0000  0.0000
Hg  0.0000  0.5000  0.5000
Hg  0.5000  0.0000  0.5000
Hg  0.5000  0.5000  0.0000
Se  0.2341  0.2341  0.2341
Se  0.2341  0.7659  0.7659
Se  0.7659  0.2341  0.7659
Se  0.7659  0.7659  0.2341

Principal peaks in the range 2θ from 10° to 80°, in order of rising 2θ:
| Position (°2θ) | intensity |
| --- | --- |
| 20.21 | 6 |
| 24.82 | 100 |
| 28.74 | 12 |
| 32.21 | 7 |
| 41.09 | 70 |
| 48.60 | 49 |
| 59.51 | 11 |
| 65.48 | 20 |
| 67.40 | 5 |
| 74.87 | 23 |

=====

[10]
This entry pairs a crystal structure of Ac4Al5Pd2 with its theoretical powder diffraction line list. Radiation: a wavelength of 1.5418 Å. Structure: a DFT-relaxed cell (GGA-PBE, Alexandria).
Neutral-atom scattering factors, no anomalous dispersion.

Crystal structure
Unit cell a=7.4266 b=4.1857 c=9.6688 alpha=90.00 beta=93.26 gamma=90.00
Fractional coordinates of all 11 atoms:
Ac  0.1766  0.0000  0.3744
Ac  0.2517  0.0000  0.9377
Ac  0.7483  0.0000  0.0623
Ac  0.8234  0.0000  0.6256
Al  0.2082  0.5000  0.6629
Al  0.4447  0.5000  0.2053
Al  0.5000  0.5000  0.5000
Al  0.5553  0.5000  0.7947
Al  0.7918  0.5000  0.3371
Pd  0.0714  0.5000  0.1469
Pd  0.9286  0.5000  0.8531

Principal peaks in the range 2θ from 10° to 80°, in order of rising 2θ:
| Position (°2θ) | intensity |
| --- | --- |
| 11.94 | 59 |
| 21.23 | 42 |
| 21.39 | 56 |
| 24.00 | 35 |
| 30.31 | 88 |
| 31.16 | 100 |
| 32.26 | 85 |
| 35.18 | 44 |
| 36.66 | 52 |
| 43.23 | 43 |

=====

[11]
This entry pairs a crystal structure of Nd4Dy3Er with its theoretical powder diffraction line list. Radiation: a wavelength of 1.5418 Å. Structure: a DFT-relaxed cell (GGA-PBE, Alexandria).
Neutral-atom scattering factors, no anomalous dispersion.

Crystal structure
Unit cell a=11.5919 b=7.3296 c=6.3141 alpha=90.00 beta=90.00 gamma=90.00
Fractional coordinates of all 16 atoms:
Nd  0.0000  0.1275  0.0000
Nd  0.0000  0.8722  0.4972
Nd  0.2489  0.8716  0.8346
Nd  0.2511  0.1284  0.3346
Nd  0.5000  0.1278  0.9972
Nd  0.5000  0.8725  0.5000
Nd  0.7489  0.1284  0.3346
Nd  0.7511  0.8716  0.8346
Dy  0.0000  0.3783  0.5000
Dy  0.2499  0.3788  0.8326
Dy  0.2501  0.6212  0.3326
Dy  0.5000  0.6217  0.0000
Dy  0.7501  0.3788  0.8326
Dy  0.7499  0.6212  0.3326
Er  0.0000  0.6204  0.9997
Er  0.5000  0.3796  0.4997

Principal peaks in the range 2θ from 10° to 80°, in order of rising 2θ:
| Position (°2θ) | intensity |
| --- | --- |
| 28.15 | 23 |
| 28.27 | 12 |
| 30.86 | 37 |
| 32.19 | 100 |
| 32.29 | 49 |
| 42.28 | 24 |
| 49.97 | 19 |
| 55.74 | 32 |
| 59.89 | 23 |
| 60.57 | 16 |

=====

[12]
This entry pairs a crystal structure of CePm3Th2P6 with its theoretical powder diffraction line list. Radiation: a wavelength of 1.5418 Å. Structure: a DFT-relaxed cell (GGA-PBE, Alexandria).
Neutral-atom scattering factors, no anomalous dispersion.

Crystal structure
Unit cell a=7.1623 b=7.1623 c=7.1437 alpha=99.62 beta=99.62 gamma=120.00
Fractional coordinates of all 12 atoms:
Ce  0.0000  0.0000  0.0000
Pm  0.1666  0.8334  0.5000
Pm  0.5000  0.5000  0.5000
Pm  0.8334  0.1666  0.5000
Th  0.3334  0.6666  0.0000
Th  0.6666  0.3334  0.0000
P  0.0824  0.4144  0.2471
P  0.2497  0.2497  0.7532
P  0.4144  0.0824  0.2471
P  0.5856  0.9176  0.7529
P  0.7503  0.7503  0.2468
P  0.9176  0.5856  0.7529

Principal peaks in the range 2θ from 10° to 80°, in order of rising 2θ:
| Position (°2θ) | intensity |
| --- | --- |
| 26.41 | 69 |
| 26.48 | 23 |
| 30.60 | 100 |
| 43.83 | 74 |
| 51.88 | 34 |
| 51.98 | 11 |
| 54.36 | 20 |
| 63.72 | 12 |
| 72.27 | 17 |
| 72.40 | 17 |

=====

Please write out number 4 again, unchanged.
This entry pairs a crystal structure of ScTcTeH2 with its theoretical powder diffraction line list. Radiation: a wavelength of 1.5418 Å. Structure: a DFT-relaxed cell (GGA-PBE, Alexandria).
Neutral-atom scattering factors, no anomalous dispersion.

Crystal structure
Unit cell a=3.7909 b=3.7909 c=5.7194 alpha=90.00 beta=90.00 gamma=90.00
Fractional coordinates of all 5 atoms:
Sc  0.0000  0.0000  0.0000
Tc  0.0000  0.0000  0.5000
Te  0.5000  0.5000  0.5000
H  0.0000  0.5000  0.0000
H  0.5000  0.0000  0.0000

Principal peaks in the range 2θ from 10° to 80°, in order of rising 2θ:
| Position (°2θ) | intensity |
| --- | --- |
| 15.49 | 100 |
| 28.24 | 14 |
| 31.28 | 45 |
| 33.43 | 71 |
| 37.04 | 50 |
| 46.43 | 56 |
| 48.00 | 26 |
| 50.74 | 20 |
| 58.41 | 28 |
| 75.33 | 13 |

=====

Please write out number 2 again, unchanged.
This entry pairs a crystal structure of BeAlNi6 with its theoretical powder diffraction line list. Radiation: a wavelength of 1.5418 Å. Structure: a DFT-relaxed cell (GGA-PBE, Alexandria).
Neutral-atom scattering factors, no anomalous dispersion.

Crystal structure
Unit cell a=6.0668 b=6.0668 c=9.9245 alpha=90.00 beta=90.00 gamma=109.89
Fractional coordinates of all 32 atoms:
Be  0.0000  0.0000  0.2464
Be  0.0000  0.0000  0.7536
Be  0.2544  0.7456  0.0000
Be  0.7456  0.2544  0.0000
Al  0.2544  0.7456  0.5000
Al  0.5000  0.5000  0.2484
Al  0.5000  0.5000  0.7516
Al  0.7456  0.2544  0.5000
Ni  0.0000  0.0000  0.0000
Ni  0.0000  0.0000  0.5000
Ni  0.1177  0.3706  0.1214
Ni  0.1177  0.3706  0.8786
Ni  0.1192  0.3661  0.3710
Ni  0.1192  0.3661  0.6290
Ni  0.2493  0.7507  0.2426
Ni  0.2493  0.7507  0.7574
Ni  0.3661  0.1192  0.3710
Ni  0.3661  0.1192  0.6290
Ni  0.3706  0.1177  0.1214
Ni  0.3706  0.1177  0.8786
Ni  0.5000  0.5000  0.0000
Ni  0.5000  0.5000  0.5000
Ni  0.6294  0.8823  0.1214
Ni  0.6294  0.8823  0.8786
Ni  0.6339  0.8808  0.3710
Ni  0.6339  0.8808  0.6290
Ni  0.7507  0.2493  0.2426
Ni  0.7507  0.2493  0.7574
Ni  0.8808  0.6339  0.3710
Ni  0.8808  0.6339  0.6290
Ni  0.8823  0.6294  0.1214
Ni  0.8823  0.6294  0.8786

Principal peaks in the range 2θ from 10° to 80°, in order of rising 2θ:
| Position (°2θ) | intensity |
| --- | --- |
| 25.37 | 12 |
| 25.56 | 6 |
| 36.19 | 5 |
| 36.33 | 10 |
| 44.83 | 100 |
| 52.11 | 31 |
| 52.52 | 15 |
| 65.18 | 3 |
| 76.80 | 9 |
| 77.14 | 18 |